The following is a computed powder diffractogram of Co7Ir. It was derived from a structure optimized by DFT (PBE), using Cu Kα (weighted mean of Kα1 and Kα2).

Structural model:
Cell lengths 7.172, 7.172, 7.172 Å; angles 90.00, 90.00, 90.00 degrees
Space group Fm-3m (No. 225)
Asymmetric unit:
1 Co 0.000 0.000 0.000
2 Co 0.000 0.250 0.250
3 Ir 0.000 0.000 0.500

Most intense lines, 5° ≤ 2θ ≤ 70°, low angle first:
2theta, Rel. int., (hkl)
21.5, 25.7, 1 1 1
24.8, 13.7, 2 0 0
35.4, 11.3, 2 2 0
41.8, 14.6, 3 1 1
43.7, 100.0, 2 2 2
50.9, 47.0, 4 0 0

The following is a computed powder diffractogram of EuTcH3. It was derived from a structure optimized by DFT (PBE), using Cu Kα (weighted mean of Kα1 and Kα2).

Structural model:
Cell lengths 3.723, 3.723, 3.723 Å; angles 90.00, 90.00, 90.00 degrees
Space group Pm-3m (No. 221)
Asymmetric unit:
1 Eu 0.000 0.000 0.000
2 Tc 0.500 0.500 0.500
3 H 0.000 0.500 0.500

Most intense lines, 5° ≤ 2θ ≤ 70°, low angle first:
2theta, Rel. int., (hkl)
23.9, 4.5, 1 0 0
34.1, 100.0, 1 1 0
42.0, 1.9, 1 1 1
48.9, 18.4, 2 0 0
55.2, 2.2, 2 1 0
61.0, 36.8, 2 1 1

The following is a computed powder diffractogram of Cd2Te3O9. It was derived from a structure optimized by DFT (PBE), using Cu Kα (weighted mean of Kα1 and Kα2).

Structural model:
Cell lengths 9.530, 7.425, 13.461 Å; angles 90.00, 122.88, 90.00 degrees
Space group P2_1/c (No. 14)
Asymmetric unit:
1 Cd 0.099 0.123 0.147
2 Cd 0.102 0.622 0.148
3 Te 0.261 0.623 0.939
4 Te 0.288 0.113 0.959
5 Te 0.497 0.130 0.749
6 O 0.087 0.634 0.970
7 O 0.093 0.118 0.964
8 O 0.144 0.074 0.333
9 O 0.174 0.656 0.346
10 O 0.277 0.132 0.716
11 O 0.280 0.624 0.713
12 O 0.414 0.193 0.581
13 O 0.423 0.569 0.581
14 O 0.467 0.620 0.193

Most intense lines, 5° ≤ 2θ ≤ 70°, low angle first:
2theta, Rel. int., (hkl)
27.2, 60.2, 1 0 -4
28.2, 54.0, 3 0 -2
29.4, 100.0, 1 2 1
32.7, 50.1, 2 2 -3
47.1, 34.2, 0 2 5
48.3, 25.5, 4 2 -1

The following is a computed powder diffractogram of Mn4FePb. It was derived from a structure optimized by DFT (PBE), using Cu Kα (weighted mean of Kα1 and Kα2).

Structural model:
Cell lengths 6.852, 6.852, 6.852 Å; angles 90.00, 90.00, 90.00 degrees
Space group F-43m (No. 216)
Asymmetric unit:
1 Mn 0.125 0.125 0.125
2 Fe 0.250 0.250 0.750
3 Pb 0.000 0.000 0.500

Most intense lines, 5° ≤ 2θ ≤ 70°, low angle first:
2theta, Rel. int., (hkl)
22.5, 28.7, 1 1 1
26.0, 20.9, 2 0 0
37.1, 56.2, 2 2 0
43.8, 100.0, 3 1 1
45.9, 20.6, 2 2 2
66.9, 20.0, 4 2 2

The following is a computed powder diffractogram of LaErCBr. It was derived from a structure optimized by DFT (PBE), using Cu Kα (weighted mean of Kα1 and Kα2).

Structural model:
Cell lengths 3.7298, 3.7298, 22.3831 Å; angles 90.00, 90.00, 120.00 degrees
Space group R3m (No. 160, hexagonal axes)
Asymmetric unit:
1 La 0.0000 0.0000 0.0000
2 Er 0.0000 0.0000 0.2127
3 C 0.0000 0.0000 0.5984
4 Br 0.0000 0.0000 0.7824

Most intense lines, 5° ≤ 2θ ≤ 70°, low angle first:
2theta, Rel. int., (hkl)
27.9, 48.0, 1 0 1
32.0, 73.4, 1 0 4
34.2, 100.0, 0 1 5
36.1, 26.4, 0 0 9
48.8, 41.8, 1 1 0
62.2, 34.6, 1 1 9

The following is a computed powder diffractogram of Cs3H4Au. It was derived from a structure optimized by DFT (PBE), using Cu Kα (weighted mean of Kα1 and Kα2).

Structural model:
Cell lengths 5.586, 9.014, 12.241 Å; angles 90.00, 90.00, 90.00 degrees
Space group Pmmn (No. 59, origin choice 2)
Asymmetric unit:
1 Cs 0.250 0.006 0.181
2 Cs 0.250 0.250 0.559
3 H 0.250 0.250 0.334
4 H 0.250 0.566 0.925
5 H 0.250 0.750 0.338
6 Au 0.250 0.750 0.925

Most intense lines, 5° ≤ 2θ ≤ 70°, low angle first:
2theta, Rel. int., (hkl)
7.2, 69.1, 0 0 1
17.5, 60.5, 0 1 2
20.1, 100.0, 1 1 1
24.5, 50.9, 0 2 2
26.4, 81.2, 1 2 1
27.1, 41.4, 1 0 3

The following is a computed powder diffractogram of ZnCu3Pt4. It was derived from a structure optimized by DFT (PBE), using Cu Kα (weighted mean of Kα1 and Kα2).

Structural model:
Cell lengths 3.959, 3.959, 14.371 Å; angles 90.00, 90.00, 90.00 degrees
Space group I4/mmm (No. 139)
Asymmetric unit:
1 Zn 0.000 0.000 0.000
2 Cu 0.000 0.000 0.250
3 Cu 0.000 0.000 0.500
4 Pt 0.000 0.500 0.126

Most intense lines, 5° ≤ 2θ ≤ 70°, low angle first:
2theta, Rel. int., (hkl)
24.8, 19.6, 0 0 4
32.0, 20.8, 1 1 0
40.9, 100.0, 1 1 4
45.8, 36.0, 2 0 0
50.8, 13.3, 0 0 8
66.8, 11.5, 2 2 0

The following is a computed powder diffractogram of Ba6Na2CuRh. It was derived from a structure optimized by DFT (PBE), using Cu Kα (weighted mean of Kα1 and Kα2).

Structural model:
Cell lengths 8.934, 8.934, 12.633 Å; angles 90.00, 90.00, 90.00 degrees
Space group I4mm (No. 107)
Asymmetric unit:
1 Ba 0.000 0.000 0.000
2 Ba 0.000 0.000 0.487
3 Ba 0.244 0.244 0.244
4 Na 0.000 0.500 0.493
5 Cu 0.000 0.000 0.744
6 Rh 0.000 0.000 0.244

Most intense lines, 5° ≤ 2θ ≤ 70°, low angle first:
2theta, Rel. int., (hkl)
14.0, 78.2, 1 1 0
24.4, 82.0, 2 0 2
28.3, 100.0, 2 2 0
31.7, 43.4, 3 1 0
40.4, 75.0, 4 0 0
47.8, 38.8, 4 2 2

The following is a computed powder diffractogram of PrSm6Ho6. It was derived from a structure optimized by DFT (PBE), using Cu Kα (weighted mean of Kα1 and Kα2).

Structural model:
Cell lengths 7.080, 11.194, 11.162 Å; angles 90.00, 90.00, 90.00 degrees
Space group Cmmm (No. 65)
Asymmetric unit:
1 Pr 0.000 0.000 0.000
2 Sm 0.000 0.000 0.334
3 Sm 0.000 0.266 0.500
4 Sm 0.000 0.358 0.000
5 Ho 0.000 0.500 0.300
6 Ho 0.250 0.250 0.226

Most intense lines, 5° ≤ 2θ ≤ 70°, low angle first:
2theta, Rel. int., (hkl)
28.8, 73.5, 0 2 3
29.9, 91.9, 2 2 0
31.5, 30.0, 1 3 2
32.0, 66.1, 0 4 0
34.0, 100.0, 2 2 2
35.9, 40.0, 0 4 2

The following is a computed powder diffractogram of Ho2GePd. It was derived from a structure optimized by DFT (PBE), using Cu Kα (weighted mean of Kα1 and Kα2).

Structural model:
Cell lengths 5.816, 4.311, 7.744 Å; angles 90.00, 110.32, 90.00 degrees
Space group P2_1/m (No. 11)
Asymmetric unit:
1 Ho 0.218 0.250 0.439
2 Ho 0.223 0.250 0.917
3 Ge 0.324 0.750 0.206
4 Pd 0.351 0.750 0.711

Most intense lines, 5° ≤ 2θ ≤ 70°, low angle first:
2theta, Rel. int., (hkl)
32.0, 91.3, 1 1 -2
32.2, 100.0, 0 1 2
32.8, 58.0, 2 0 0
39.7, 57.3, 2 1 -2
40.2, 50.6, 1 1 2
41.9, 53.0, 0 2 0

The following is a computed powder diffractogram of Li2AlCdO4. It was derived from a structure optimized by DFT (PBE), using Cu Kα (weighted mean of Kα1 and Kα2).

Structural model:
Cell lengths 4.752, 4.752, 8.454 Å; angles 90.00, 90.00, 90.00 degrees
Space group I-42m (No. 121)
Asymmetric unit:
1 Li 0.000 0.500 0.250
2 Al 0.000 0.000 0.000
3 Cd 0.000 0.000 0.500
4 O 0.214 0.214 0.876

Most intense lines, 5° ≤ 2θ ≤ 70°, low angle first:
2theta, Rel. int., (hkl)
21.0, 55.8, 0 0 2
21.4, 67.2, 1 0 1
26.5, 65.1, 1 1 0
34.1, 100.0, 1 1 2
43.7, 30.7, 2 0 2
43.9, 34.5, 2 1 1

The following is a computed powder diffractogram of Sm5DyY. It was derived from a structure optimized by DFT (PBE), using Cu Kα (weighted mean of Kα1 and Kα2).

Structural model:
Cell lengths 16.518, 6.632, 10.779 Å; angles 90.00, 126.32, 90.00 degrees
Space group C2/c (No. 15)
Asymmetric unit:
1 Sm 0.000 0.012 0.250
2 Sm 0.092 0.247 0.597
3 Sm 0.170 0.252 0.087
4 Dy 0.250 0.250 0.500
5 Y 0.000 0.486 0.250

Most intense lines, 5° ≤ 2θ ≤ 70°, low angle first:
2theta, Rel. int., (hkl)
28.3, 44.8, 3 1 -3
30.1, 28.5, 2 2 0
30.5, 60.3, 2 0 2
31.7, 100.0, 5 1 -1
32.2, 38.9, 5 1 -3
34.0, 43.6, 0 2 2